1.
Diffraction record for Li3Tl2HgPd3. The powder X-ray diffraction pattern is computed, not measured: it uses a GGA-PBE-relaxed structure and copper Kα.

Cell and atoms:
a = 7.741 Å, b = 7.741 Å, c = 3.051 Å
α = 90.00°, β = 90.00°, γ = 120.00°
Atoms (fractional coordinates):
Li (0.000, 0.709, 0.000)
Li (0.291, 0.291, 0.000)
Li (0.709, 0.000, 0.000)
Tl (0.333, 0.667, 0.000)
Tl (0.667, 0.333, 0.000)
Hg (0.000, 0.000, 0.500)
Pd (0.000, 0.371, 0.500)
Pd (0.371, 0.000, 0.500)
Pd (0.629, 0.629, 0.500)

Largest 10 diffraction maxima, in order of falling intensity, 2θ = 15–90°:
d_spacing, two_theta, Rel. int.
3.871, 22.98, 100.0
2.235, 40.36, 72.3
2.256, 39.96, 48.1
2.396, 37.54, 44.3
2.777, 32.24, 43.0
1.949, 46.59, 42.8
1.373, 68.30, 24.1
1.260, 75.46, 23.2
1.935, 46.95, 16.6
1.588, 58.10, 13.8

2.
Diffraction record for Li2Tl2HgPd5. The powder X-ray diffraction pattern is computed, not measured: it uses a GGA-PBE-relaxed structure and copper Kα.

Cell and atoms:
a = 9.374 Å, b = 9.374 Å, c = 3.882 Å
α = 90.00°, β = 90.00°, γ = 90.00°
Atoms (fractional coordinates):
Li (0.123, 0.377, 0.000)
Li (0.377, 0.877, 0.000)
Li (0.623, 0.123, 0.000)
Li (0.877, 0.623, 0.000)
Tl (0.171, 0.671, 0.000)
Tl (0.329, 0.171, 0.000)
Tl (0.671, 0.829, 0.000)
Tl (0.829, 0.329, 0.000)
Hg (0.000, 0.000, 0.000)
Hg (0.500, 0.500, 0.000)
Pd (0.000, 0.500, 0.500)
Pd (0.083, 0.203, 0.500)
Pd (0.203, 0.917, 0.500)
Pd (0.297, 0.417, 0.500)
Pd (0.417, 0.703, 0.500)
Pd (0.500, 0.000, 0.500)
Pd (0.583, 0.297, 0.500)
Pd (0.703, 0.583, 0.500)
Pd (0.797, 0.083, 0.500)
Pd (0.917, 0.797, 0.500)

Largest 10 diffraction maxima, in order of falling intensity, 2θ = 15–90°:
d_spacing, two_theta, Rel. int.
2.356, 38.20, 100.0
2.848, 31.41, 65.6
2.273, 39.64, 38.8
2.096, 43.16, 23.2
2.520, 35.62, 22.2
1.941, 46.81, 22.1
1.476, 62.97, 19.9
4.192, 21.19, 14.3
2.160, 41.82, 13.7
1.424, 65.55, 13.4

3.
Diffraction record for Li4PmHg12. The powder X-ray diffraction pattern is computed, not measured: it uses a GGA-PBE-relaxed structure and copper Kα.

Cell and atoms:
a = 8.162 Å, b = 8.162 Å, c = 8.162 Å
α = 109.47°, β = 109.47°, γ = 109.47°
Atoms (fractional coordinates):
Li (0.000, 0.000, 0.500)
Li (0.000, 0.500, 0.000)
Li (0.500, 0.000, 0.000)
Li (0.500, 0.500, 0.500)
Pm (0.000, 0.000, 0.000)
Hg (0.158, 0.500, 0.341)
Hg (0.158, 0.817, 0.659)
Hg (0.183, 0.341, 0.842)
Hg (0.341, 0.158, 0.500)
Hg (0.341, 0.842, 0.183)
Hg (0.500, 0.341, 0.158)
Hg (0.500, 0.659, 0.842)
Hg (0.659, 0.158, 0.817)
Hg (0.659, 0.842, 0.500)
Hg (0.817, 0.659, 0.158)
Hg (0.842, 0.183, 0.341)
Hg (0.842, 0.500, 0.659)

Largest 10 diffraction maxima, in order of falling intensity, 2θ = 15–90°:
d_spacing, two_theta, Rel. int.
2.980, 29.98, 100.0
2.519, 35.64, 40.8
1.848, 49.30, 28.8
1.571, 58.78, 19.6
1.390, 67.39, 19.1
1.616, 56.97, 14.3
1.096, 89.44, 10.7
1.238, 77.06, 9.9
1.111, 87.91, 9.0
1.924, 47.25, 8.6

4.
Diffraction record for LiPm2Hg8. The powder X-ray diffraction pattern is computed, not measured: it uses a GGA-PBE-relaxed structure and copper Kα.

Cell and atoms:
a = 8.673 Å, b = 8.673 Å, c = 7.037 Å
α = 113.78°, β = 113.78°, γ = 34.04°
Atoms (fractional coordinates):
Li (0.000, 0.000, 0.000)
Pm (0.300, 0.300, 0.301)
Pm (0.700, 0.700, 0.699)
Hg (0.128, 0.128, 0.405)
Hg (0.129, 0.129, 0.852)
Hg (0.335, 0.335, 0.835)
Hg (0.500, 0.500, 0.278)
Hg (0.500, 0.500, 0.722)
Hg (0.665, 0.665, 0.165)
Hg (0.871, 0.871, 0.148)
Hg (0.872, 0.872, 0.595)

Largest 10 diffraction maxima, in order of falling intensity, 2θ = 15–90°:
d_spacing, two_theta, Rel. int.
2.505, 35.85, 100.0
2.588, 34.66, 37.6
2.539, 35.36, 34.0
3.187, 28.00, 20.3
1.459, 63.79, 17.4
2.776, 32.24, 12.6
1.986, 45.69, 11.0
2.840, 31.50, 9.8
1.446, 64.44, 9.1
1.759, 51.98, 8.4